Structure and computed powder XRD pattern of Rb2CaH2Br2 (a cell relaxed with GGA-PBE; Cu Kα X-rays).
Neutral-atom scattering factors, no anomalous dispersion.

Peak list (8 most intense, 15 to 90 degrees two-theta, sorted by position)
2θ (°)  Rel. int.
20.18  31
26.46  100
31.60  39
33.50  37
37.76  39
40.79  26
50.04  20
61.55  18

```
Rb2CaH2Br2
1.0
-2.382 2.382 8.801
2.382 -2.382 8.801
2.382 2.382 -8.801
Rb Ca H Br
2 1 2 2
direct
0.132 0.132 0.000 Rb
0.868 0.868 0.000 Rb
0.500 0.500 0.000 Ca
0.000 0.500 0.500 H
0.500 0.000 0.500 H
0.335 0.335 0.000 Br
0.665 0.665 0.000 Br
```